Record 1
As: calculated powder XRD pattern (a wavelength of 1.5418 Å), based on a crystal structure in Alexandria, relaxed with PBE.

Main lines, low angle first (2θ from 10° to 90°):
- 15.54 deg, 5.702 Å, I = 15.7, hkl 0 2 0
- 24.61 deg, 3.617 Å, I = 31.5, hkl 0 2 1
- 31.38 deg, 2.851 Å, I = 40.0, hkl 0 4 0
- 31.73 deg, 2.820 Å, I = 100.0, hkl 1 1 1
- 38.98 deg, 2.311 Å, I = 15.9, hkl 1 3 1
- 46.55 deg, 1.951 Å, I = 14.7, hkl 1 1 2
- 49.03 deg, 1.858 Å, I = 14.3, hkl 2 0 0
- 50.86 deg, 1.795 Å, I = 40.6, hkl 1 5 1
- 52.08 deg, 1.756 Å, I = 22.8, hkl 1 3 2
- 59.37 deg, 1.557 Å, I = 12.6, hkl 2 4 0

Structural model:
a b c (Å): 3.7160 11.4041 4.6798
angles (deg): 90.00 90.00 90.00
Space group Cmce (No. 64)
Unique sites:
1 As 0.0000 0.1061 0.0688 x8


Record 2
AcTb2Er6: calculated powder XRD pattern (a wavelength of 1.5418 Å), based on a crystal structure in Alexandria, relaxed with PBE.

Main lines, low angle first (2θ from 10° to 90°):
- 28.63 deg, 3.118 Å, I = 55.4, hkl 1 0 0
- 30.68 deg, 2.914 Å, I = 53.3, hkl 0 0 9
- 31.77 deg, 2.816 Å, I = 89.6, hkl 1 0 4
- 33.43 deg, 2.681 Å, I = 100.0, hkl 1 0 5
- 42.45 deg, 2.129 Å, I = 35.7, hkl 1 0 9
- 50.71 deg, 1.800 Å, I = 43.2, hkl 1 1 0
- 57.38 deg, 1.606 Å, I = 24.0, hkl 1 0 14
- 60.44 deg, 1.532 Å, I = 47.2, hkl 1 1 9
- 62.10 deg, 1.495 Å, I = 17.1, hkl 2 0 5
- 84.19 deg, 1.150 Å, I = 14.9, hkl 2 1 5

Structural model:
a b c (Å): 3.6009 3.6009 26.2284
angles (deg): 90.00 90.00 120.00
Space group P-6m2 (No. 187)
Unique sites:
1 Ac 0.0000 0.0000 0.0000 x1
2 Tb 0.3333 0.6667 0.3312 x2
3 Er 0.0000 0.0000 0.2230 x2
4 Er 0.0000 0.0000 0.4366 x2
5 Er 0.3333 0.6667 0.1182 x2


Record 3
Pr2SBr3: calculated powder XRD pattern (a wavelength of 1.5418 Å), based on a crystal structure in Alexandria, relaxed with PBE.

Main lines, low angle first (2θ from 10° to 90°):
- 15.56 deg, 5.694 Å, I = 71.3, hkl 2 0 -2
- 22.85 deg, 3.892 Å, I = 100.0, hkl 1 1 1
- 24.37 deg, 3.652 Å, I = 68.9, hkl 1 1 -2
- 28.19 deg, 3.166 Å, I = 85.0, hkl 1 1 2
- 30.28 deg, 2.952 Å, I = 54.0, hkl 1 1 -3
- 33.37 deg, 2.685 Å, I = 70.2, hkl 5 1 -2
- 33.78 deg, 2.653 Å, I = 53.5, hkl 6 0 -1
- 36.04 deg, 2.492 Å, I = 55.5, hkl 3 1 -4
- 38.57 deg, 2.334 Å, I = 67.6, hkl 0 2 0
- 40.78 deg, 2.213 Å, I = 57.1, hkl 5 1 1

Structural model:
a b c (Å): 16.4907 4.6684 11.8236
angles (deg): 90.00 118.09 90.00
Space group C2/m (No. 12)
Unique sites:
1 Pr 0.0971 0.0000 0.4415 x4
2 Pr 0.1391 0.5000 0.8088 x4
3 S 0.0963 0.0000 0.6766 x4
4 Br 0.0561 0.5000 0.2444 x4
5 Br 0.1584 0.0000 0.0125 x4
6 Br 0.2286 0.5000 0.6075 x4